(1)
Structure and computed X-ray powder pattern of Tb2Er15Tm2 (the PBE geometry in Alexandria; Cu Kα, 1.54184 Å).
Neutral-atom scattering factors, no anomalous dispersion.

Peak list (6 most intense, 5 to 70 degrees two-theta, sorted by position)
27.7 deg, rel. 31
28.0 deg, rel. 31
31.8 deg, rel. 61
32.1 deg, rel. 100
32.5 deg, rel. 59
36.1 deg, rel. 73

Atomic structure:
```
19
Lattice="5.516 3.185 5.804 -5.516 3.185 5.804 0.000 -6.369 5.804" Properties=species:S:1:pos:R:3 pbc="T T T"
Tb 0.000 0.000 3.083
Tb 0.000 0.000 14.330
Er -2.758 -1.592 5.804
Er 0.000 -3.289 5.282
Er -2.849 1.645 5.282
Er -1.649 -2.856 8.706
Er -3.298 0.000 8.706
Er -2.849 -1.645 12.130
Er -2.758 1.592 11.608
Er 1.649 -2.856 8.706
Er 0.000 3.185 5.804
Er -1.649 2.856 8.706
Er 2.849 1.645 5.282
Er 3.297 0.000 8.706
Er 1.649 2.856 8.706
Er 2.849 -1.645 12.130
Er 0.000 3.289 12.130
Tm 0.000 0.000 7.016
Tm 0.000 0.000 10.397
```

---

(2)
Structure and computed X-ray powder pattern of Cs2PaSnSe4 (the PBE geometry in Alexandria; Cu Kα, 1.54184 Å).
Neutral-atom scattering factors, no anomalous dispersion.

Peak list (6 most intense, 5 to 70 degrees two-theta, sorted by position)
10.7 deg, rel. 16
27.4 deg, rel. 100
37.5 deg, rel. 21
40.7 deg, rel. 25
41.3 deg, rel. 12
50.2 deg, rel. 12

Atomic structure:
```
8
Lattice="7.720 0.000 0.000 0.000 4.377 0.000 -2.458 0.000 8.276" Properties=species:S:1:pos:R:3 pbc="T T T"
Cs 0.000 0.000 0.000
Cs 3.860 2.188 0.000
Pa -1.229 2.188 4.138
Sn 2.631 0.000 4.138
Se -0.024 0.000 5.667
Se 1.161 2.188 2.593
Se 4.100 2.188 5.683
Se 5.285 0.000 2.608
```

---

(3)
Structure and computed X-ray powder pattern of CsBaTlSe3 (the PBE geometry in Alexandria; Cu Kα, 1.54184 Å).
Neutral-atom scattering factors, no anomalous dispersion.

Peak list (6 most intense, 5 to 70 degrees two-theta, sorted by position)
10.3 deg, rel. 28
23.8 deg, rel. 27
24.4 deg, rel. 100
31.1 deg, rel. 35
31.6 deg, rel. 59
40.6 deg, rel. 38

Atomic structure:
```
12
Lattice="8.864 -2.827 0.000 8.864 2.827 0.000 -2.192 0.000 9.289" Properties=species:S:1:pos:R:3 pbc="T T T"
Cs 2.531 0.000 0.567
Cs 13.005 0.000 8.722
Ba 1.337 0.000 5.221
Ba 14.199 0.000 4.068
Tl 7.103 0.000 6.742
Tl 8.433 0.000 2.547
Se -0.576 0.000 2.540
Se 4.518 0.000 6.095
Se 5.822 0.000 2.115
Se 9.714 0.000 7.173
Se 11.018 0.000 3.194
Se 16.112 0.000 6.749
```